Diffraction record for La3OsAu. The X-ray diffraction stick pattern is calculated, not measured: it uses a GGA-PBE-relaxed structure and CuKα.

Structure:
abc: 6.204 6.601 8.241
angles: 73.27 84.80 65.92
Space group P-1 (No. 2)
Symmetry-distinct sites (fractional):
La 0.047 0.154 0.145 x2
La 0.304 0.204 0.669 x2
La 0.393 0.475 0.217 x2
Os 0.405 0.868 0.968 x2
Au 0.184 0.767 0.497 x2

Top 10 peaks for 2θ from 5° to 70°, by intensity:
2theta	d (Å)	Rel. int.	hkl
30.0	2.982	100	2 1 1
31.3	2.854	76	-1 1 2
30.7	2.908	62	0 1 -2
33.6	2.666	58	2 2 1
32.9	2.720	50	0 2 2
38.6	2.333	40	2 2 -1
34.6	2.590	37	1 1 3
37.8	2.380	35	1 -1 2
47.0	1.932	30	0 3 0
33.3	2.691	27	2 0 -1

***

Diffraction record for LaPbAu. The X-ray diffraction stick pattern is calculated, not measured: it uses a GGA-PBE-relaxed structure and CuKα.

Structure:
abc: 8.509 4.915 8.757
angles: 90.00 108.81 90.00
Space group Cm (No. 8)
Symmetry-distinct sites (fractional):
La 0.000 0.000 0.000 x2
La 0.165 0.000 0.494 x2
Pb 0.078 0.500 0.732 x2
Pb 0.412 0.000 0.235 x2
Au 0.261 0.500 0.281 x2
Au 0.289 0.000 0.865 x2

Top 10 peaks for 2θ from 5° to 70°, by intensity:
2theta	d (Å)	Rel. int.	hkl
36.6	2.457	100	0 2 0
32.8	2.727	58	1 1 2
27.6	3.233	48	2 0 1
35.8	2.510	20	1 1 -3
65.8	1.419	18	6 0 -2
50.0	1.825	18	4 0 1
63.5	1.465	18	4 2 1
42.8	2.113	17	3 1 1
21.2	4.195	16	2 0 -1
58.2	1.584	16	3 1 3

***

Diffraction record for La5Pd2Au. The X-ray diffraction stick pattern is calculated, not measured: it uses a GGA-PBE-relaxed structure and CuKα.

Structure:
abc: 8.282 8.282 13.210
angles: 90.00 90.00 90.00
Space group I4/mcm (No. 140)
Symmetry-distinct sites (fractional):
La 0.000 0.000 0.000 x4
La 0.161 0.339 0.146 x16
Pd 0.129 0.371 0.500 x8
Au 0.000 0.000 0.250 x4

Top 10 peaks for 2θ from 5° to 70°, by intensity:
2theta	d (Å)	Rel. int.	hkl
31.6	2.834	100	2 1 3
34.2	2.619	74	3 1 0
34.7	2.582	38	2 0 4
31.1	2.877	23	1 1 4
54.6	1.681	22	3 3 4
30.5	2.928	18	2 2 0
64.1	1.452	15	5 2 3
67.0	1.397	14	3 1 8
63.9	1.457	12	5 1 4
49.2	1.852	12	4 2 0

***

Diffraction record for La4Pd5Au2. The X-ray diffraction stick pattern is calculated, not measured: it uses a GGA-PBE-relaxed structure and CuKα.

Structure:
abc: 7.442 4.036 8.656
angles: 90.00 91.31 90.00
Space group P2/m (No. 10)
Symmetry-distinct sites (fractional):
La 0.243 0.000 0.121 x2
La 0.254 0.000 0.616 x2
Pd 0.000 0.500 0.500 x1
Pd 0.027 0.500 0.828 x2
Pd 0.352 0.500 0.379 x2
Au 0.403 0.500 0.861 x2

Top 10 peaks for 2θ from 5° to 70°, by intensity:
2theta	d (Å)	Rel. int.	hkl
32.8	2.732	100	1 1 2
32.5	2.758	47	1 1 -2
44.9	2.018	24	0 2 0
41.8	2.163	16	0 0 4
41.6	2.173	16	3 0 -2
42.4	2.131	15	3 0 2
22.0	4.036	11	0 1 0
32.1	2.789	10	2 0 2
63.0	1.476	10	0 2 4
42.8	2.113	10	3 1 0